[1]
Calculated PXRD pattern of BaNaPrNbO6 for CuKα, from DFT lattice parameters and positions (GGA-PBE).
No peak broadening, texture or thermal motion is included.

Main lines, low angle first (15 to 90 degrees two-theta):
20.60°, d = 4.311 Å, I 12, hkl 0 2 0; 29.30°, d = 3.048 Å, I 100, hkl 2 0 2; 41.83°, d = 2.159 Å, I 10, hkl 0 0 4; 41.95°, d = 2.153 Å, I 20, hkl 0 4 0; 51.96°, d = 1.760 Å, I 45, hkl 4 2 2; 60.77°, d = 1.524 Å, I 17, hkl 0 4 4; 68.94°, d = 1.362 Å, I 12, hkl 6 0 2; 84.04°, d = 1.152 Å, I 15, hkl 4 6 2

Structural model:
a = 8.614 Å, b = 8.614 Å, c = 8.637 Å
α = 90.00°, β = 90.00°, γ = 90.00°
Space group Pnnn (No. 48, origin choice 2)
Symmetry-distinct sites (fractional):
Ba 0.250 0.250 0.250 x2
Ba 0.250 0.250 0.750 x2
Na 0.250 0.750 0.250 x2
Na 0.250 0.750 0.750 x2
Pr 0.000 0.000 0.000 x4
Nb 0.000 0.000 0.500 x4
O 0.040 0.230 0.478 x8
O 0.044 0.532 0.228 x8
O 0.228 0.525 0.950 x8



[2]
Calculated PXRD pattern of BaNaPrNbO6 for CuKα, from DFT lattice parameters and positions (GGA-PBE).
No peak broadening, texture or thermal motion is included.

Main lines, low angle first (15 to 90 degrees two-theta):
17.59°, d = 5.042 Å, I 21, hkl 1 1 1; 28.92°, d = 3.087 Å, I 100, hkl 2 2 0; 34.05°, d = 2.633 Å, I 14, hkl 3 1 1; 41.36°, d = 2.183 Å, I 34, hkl 4 0 0; 51.25°, d = 1.782 Å, I 40, hkl 4 2 2; 59.92°, d = 1.544 Å, I 21, hkl 4 4 0; 67.88°, d = 1.381 Å, I 18, hkl 6 2 0; 82.70°, d = 1.167 Å, I 21, hkl 6 4 2

Structural model:
a = 8.732 Å, b = 8.732 Å, c = 8.732 Å
α = 90.00°, β = 90.00°, γ = 90.00°
Space group F-43m (No. 216)
Symmetry-distinct sites (fractional):
Ba 0.000 0.000 0.000 x4
Na 0.000 0.000 0.500 x4
Pr 0.250 0.250 0.250 x4
Nb 0.250 0.250 0.750 x4
O 0.019 0.250 0.750 x24



[3]
Calculated PXRD pattern of Ba7Na3Ti7Nb3O30 for CuKα, from DFT lattice parameters and positions (GGA-PBE).
No peak broadening, texture or thermal motion is included.

Main lines, low angle first (15 to 90 degrees two-theta):
22.51°, d = 3.950 Å, I 11, hkl 2 0 -1; 31.39°, d = 2.850 Å, I 100, hkl 2 1 0; 38.69°, d = 2.327 Å, I 13, hkl 2 1 5; 44.98°, d = 2.015 Å, I 37, hkl 0 2 0; 55.88°, d = 1.645 Å, I 38, hkl 2 2 5; 65.50°, d = 1.425 Å, I 22, hkl 4 2 0; 74.48°, d = 1.274 Å, I 7, hkl 2 3 0; 82.99°, d = 1.164 Å, I 7, hkl 4 2 -10

Structural model:
a = 8.057 Å, b = 4.029 Å, c = 20.173 Å
α = 90.00°, β = 90.03°, γ = 90.00°
Space group Pm (No. 6)
Symmetry-distinct sites (fractional):
Ba 0.000 0.000 0.000 x1
Ba 0.000 0.000 0.201 x1
Ba 0.001 0.000 0.395 x1
Ba 0.004 0.000 0.800 x1
Ba 0.493 0.000 0.800 x1
Ba 0.497 0.000 0.000 x1
Ba 0.497 0.000 0.201 x1
Na 0.004 0.000 0.601 x1
Na 0.493 0.000 0.601 x1
Na 0.497 0.000 0.396 x1
Ti 0.249 0.500 0.101 x1
Ti 0.249 0.500 0.696 x1
Ti 0.249 0.500 0.899 x1
Ti 0.256 0.500 0.302 x1
Ti 0.742 0.500 0.299 x1
Ti 0.748 0.500 0.101 x1
Ti 0.749 0.500 0.902 x1
Nb 0.251 0.500 0.503 x1
Nb 0.744 0.500 0.498 x1
Nb 0.749 0.500 0.696 x1
O 0.249 0.000 0.099 x1
O 0.249 0.000 0.500 x1
O 0.249 0.000 0.698 x1
O 0.249 0.000 0.900 x1
O 0.249 0.500 0.400 x1
O 0.249 0.500 0.800 x1
O 0.249 0.500 0.999 x1
O 0.250 0.000 0.300 x1
O 0.250 0.500 0.199 x1
O 0.250 0.500 0.599 x1
O 0.498 0.500 0.501 x1
O 0.498 0.500 0.698 x1
O 0.499 0.500 0.300 x1
O 0.499 0.500 0.899 x1
O 0.500 0.500 0.099 x1
O 0.747 0.000 0.300 x1
O 0.747 0.500 0.200 x1
O 0.748 0.000 0.099 x1
O 0.748 0.000 0.501 x1
O 0.748 0.500 0.400 x1
O 0.748 0.500 0.599 x1
O 0.749 0.000 0.698 x1
O 0.749 0.000 0.899 x1
O 0.749 0.500 0.798 x1
O 0.749 0.500 0.999 x1
O 0.997 0.500 0.099 x1
O 0.998 0.500 0.301 x1
O 0.998 0.500 0.899 x1
O 0.999 0.500 0.500 x1
O 0.999 0.500 0.698 x1



What is the formula in the first record?
BaNaPrNbO6



Repeat the third record exactly.
Calculated PXRD pattern of Ba7Na3Ti7Nb3O30 for CuKα, from DFT lattice parameters and positions (GGA-PBE).
No peak broadening, texture or thermal motion is included.

Main lines, low angle first (15 to 90 degrees two-theta):
22.51°, d = 3.950 Å, I 11, hkl 2 0 -1; 31.39°, d = 2.850 Å, I 100, hkl 2 1 0; 38.69°, d = 2.327 Å, I 13, hkl 2 1 5; 44.98°, d = 2.015 Å, I 37, hkl 0 2 0; 55.88°, d = 1.645 Å, I 38, hkl 2 2 5; 65.50°, d = 1.425 Å, I 22, hkl 4 2 0; 74.48°, d = 1.274 Å, I 7, hkl 2 3 0; 82.99°, d = 1.164 Å, I 7, hkl 4 2 -10

Structural model:
a = 8.057 Å, b = 4.029 Å, c = 20.173 Å
α = 90.00°, β = 90.03°, γ = 90.00°
Space group Pm (No. 6)
Symmetry-distinct sites (fractional):
Ba 0.000 0.000 0.000 x1
Ba 0.000 0.000 0.201 x1
Ba 0.001 0.000 0.395 x1
Ba 0.004 0.000 0.800 x1
Ba 0.493 0.000 0.800 x1
Ba 0.497 0.000 0.000 x1
Ba 0.497 0.000 0.201 x1
Na 0.004 0.000 0.601 x1
Na 0.493 0.000 0.601 x1
Na 0.497 0.000 0.396 x1
Ti 0.249 0.500 0.101 x1
Ti 0.249 0.500 0.696 x1
Ti 0.249 0.500 0.899 x1
Ti 0.256 0.500 0.302 x1
Ti 0.742 0.500 0.299 x1
Ti 0.748 0.500 0.101 x1
Ti 0.749 0.500 0.902 x1
Nb 0.251 0.500 0.503 x1
Nb 0.744 0.500 0.498 x1
Nb 0.749 0.500 0.696 x1
O 0.249 0.000 0.099 x1
O 0.249 0.000 0.500 x1
O 0.249 0.000 0.698 x1
O 0.249 0.000 0.900 x1
O 0.249 0.500 0.400 x1
O 0.249 0.500 0.800 x1
O 0.249 0.500 0.999 x1
O 0.250 0.000 0.300 x1
O 0.250 0.500 0.199 x1
O 0.250 0.500 0.599 x1
O 0.498 0.500 0.501 x1
O 0.498 0.500 0.698 x1
O 0.499 0.500 0.300 x1
O 0.499 0.500 0.899 x1
O 0.500 0.500 0.099 x1
O 0.747 0.000 0.300 x1
O 0.747 0.500 0.200 x1
O 0.748 0.000 0.099 x1
O 0.748 0.000 0.501 x1
O 0.748 0.500 0.400 x1
O 0.748 0.500 0.599 x1
O 0.749 0.000 0.698 x1
O 0.749 0.000 0.899 x1
O 0.749 0.500 0.798 x1
O 0.749 0.500 0.999 x1
O 0.997 0.500 0.099 x1
O 0.998 0.500 0.301 x1
O 0.998 0.500 0.899 x1
O 0.999 0.500 0.500 x1
O 0.999 0.500 0.698 x1